Record 1
Cs2CeSb2O6: theoretical X-ray powder pattern (copper Kα), based on a DFT-relaxed cell (PBE, Alexandria).
Intensities are scaled so that the largest is 100.

Structure:
```
data_Cs2CeSb2O6
_space_group_name_H-M_alt 'C 1 2/m 1'
_space_group_IT_number 12
_cell_length_a 10.986
_cell_length_b 6.340
_cell_length_c 8.049
_cell_angle_alpha 90.00
_cell_angle_beta 99.26
_cell_angle_gamma 90.00
loop_
_space_group_symop_operation_xyz
'x,y,z'
'-x,-y,-z'
'-x,y,-z'
'x,-y,z'
'x+1/2,y+1/2,z'
'-x+1/2,-y+1/2,-z'
'-x+1/2,y+1/2,-z'
'x+1/2,-y+1/2,z'
loop_
_atom_site_label
_atom_site_fract_x
_atom_site_fract_y
_atom_site_fract_z
Cs1 0.191 0.000 0.201
Ce1 0.000 0.500 0.000
Sb1 0.135 0.000 0.728
O1 0.069 0.237 0.845
O2 0.193 0.500 0.152
```

Peak list (12 most intense, 2θ from 15° to 90°, sorted by position)
hkl 0 0 2, d 3.972, 22.38 deg, rel. 37
hkl 2 0 -2, d 3.482, 25.58 deg, rel. 46
hkl 0 2 0, d 3.170, 28.15 deg, rel. 65
hkl 3 1 0, d 3.140, 28.43 deg, rel. 100
hkl 1 1 2, d 3.097, 28.82 deg, rel. 91
hkl 3 1 -1, d 3.071, 29.08 deg, rel. 52
hkl 2 2 -2, d 2.344, 38.40 deg, rel. 51
hkl 4 0 2, d 2.088, 43.33 deg, rel. 20
hkl 2 2 -3, d 1.985, 45.70 deg, rel. 27
hkl 3 3 0, d 1.824, 49.99 deg, rel. 21
hkl 1 3 2, d 1.816, 50.24 deg, rel. 20
hkl 0 4 0, d 1.584, 58.26 deg, rel. 32

=====

Record 2
V3Rh2Se8: theoretical X-ray powder pattern (copper Kα), based on a DFT-relaxed cell (PBE, Alexandria).
Intensities are scaled so that the largest is 100.

Structure:
```
data_V3Rh2Se8
_space_group_name_H-M_alt 'C 1 2/m 1'
_space_group_IT_number 12
_cell_length_a 11.905
_cell_length_b 7.234
_cell_length_c 6.140
_cell_angle_alpha 90.00
_cell_angle_beta 100.75
_cell_angle_gamma 90.00
loop_
_space_group_symop_operation_xyz
'x,y,z'
'-x,-y,-z'
'-x,y,-z'
'x,-y,z'
'x+1/2,y+1/2,z'
'-x+1/2,-y+1/2,-z'
'-x+1/2,y+1/2,-z'
'x+1/2,-y+1/2,z'
loop_
_atom_site_label
_atom_site_fract_x
_atom_site_fract_y
_atom_site_fract_z
V1 0.000 0.000 0.000
V2 0.000 0.280 0.500
Rh1 0.220 0.500 0.513
Se1 0.089 0.500 0.784
Se2 0.113 0.000 0.695
Se3 0.148 0.226 0.256
```

Peak list (12 most intense, 2θ from 15° to 90°, sorted by position)
hkl 4 0 -1, d 2.851, 31.38 deg, rel. 26
hkl 2 2 1, d 2.638, 33.99 deg, rel. 100
hkl 3 1 -2, d 2.476, 36.28 deg, rel. 17
hkl 4 0 -2, d 2.327, 38.69 deg, rel. 22
hkl 2 2 -2, d 2.268, 39.75 deg, rel. 8
hkl 5 1 -1, d 2.220, 40.64 deg, rel. 11
hkl 2 2 2, d 2.055, 44.06 deg, rel. 13
hkl 4 0 2, d 1.927, 47.15 deg, rel. 15
hkl 0 4 0, d 1.809, 50.46 deg, rel. 15
hkl 2 2 -3, d 1.764, 51.82 deg, rel. 21
hkl 6 2 -1, d 1.727, 53.03 deg, rel. 11
hkl 6 2 0, d 1.716, 53.39 deg, rel. 11